Diffraction record for GdAlGe2O7. The powder X-ray diffraction pattern is theoretical, not measured: it uses the PBE geometry in Alexandria and Cu Kα (weighted mean of Kα1 and Kα2).

Cell and atoms:
Cell lengths 7.2782, 6.5633, 12.7857 Å; angles 90.00, 117.92, 90.00 degrees
Fractional coordinates of all 44 atoms:
Gd 0.2423 0.1471 0.4713
Gd 0.2423 0.3529 0.9713
Gd 0.7577 0.6471 0.0287
Gd 0.7577 0.8529 0.5287
Al 0.2112 0.0988 0.7283
Al 0.2112 0.4012 0.2283
Al 0.7888 0.5988 0.7717
Al 0.7888 0.9012 0.2717
Ge 0.2126 0.6581 0.4518
Ge 0.2126 0.8419 0.9518
Ge 0.3041 0.5883 0.7215
Ge 0.3041 0.9117 0.2215
Ge 0.6959 0.0883 0.7785
Ge 0.6959 0.4117 0.2785
Ge 0.7874 0.1581 0.0482
Ge 0.7874 0.3419 0.5482
O 0.0110 0.6555 0.9168
O 0.0110 0.8445 0.4168
O 0.1578 0.6851 0.1887
O 0.1578 0.8149 0.6887
O 0.2086 0.0536 0.8667
O 0.2086 0.4464 0.3667
O 0.2235 0.1191 0.2778
O 0.2235 0.3809 0.7778
O 0.2525 0.0008 0.0747
O 0.2525 0.4992 0.5747
O 0.4097 0.6718 0.9759
O 0.4097 0.8282 0.4759
O 0.4232 0.1180 0.6926
O 0.4232 0.3820 0.1926
O 0.5768 0.6180 0.8074
O 0.5768 0.8820 0.3074
O 0.5903 0.1718 0.5241
O 0.5903 0.3282 0.0241
O 0.7475 0.5008 0.4253
O 0.7475 0.9992 0.9253
O 0.7765 0.6191 0.2222
O 0.7765 0.8809 0.7222
O 0.7914 0.5536 0.6333
O 0.7914 0.9464 0.1333
O 0.8422 0.1851 0.3113
O 0.8422 0.3149 0.8113
O 0.9890 0.1555 0.5832
O 0.9890 0.3445 0.0832

Top 12 peaks for 5° ≤ 2θ ≤ 70°, by intensity:
2θ (°)  d (Å)  I_rel
27.7  3.215  100.0
29.9  2.988  95.7
27.9  3.195  60.3
15.7  5.656  49.0
33.3  2.694  35.6
48.1  1.891  35.5
31.7  2.824  33.0
30.8  2.899  30.3
36.3  2.474  27.9
24.6  3.616  26.5
53.2  1.721  23.9
45.2  2.006  20.1

=====

Diffraction record for PmGdAlGe. The powder X-ray diffraction pattern is theoretical, not measured: it uses the PBE geometry in Alexandria and Cu Kα (weighted mean of Kα1 and Kα2).

Cell and atoms:
Cell lengths 5.1753, 5.1753, 5.1753 Å; angles 60.00, 60.00, 60.00 degrees
Fractional coordinates of all 4 atoms:
Pm 0.0000 0.0000 0.0000
Gd 0.5000 0.5000 0.5000
Al 0.2500 0.2500 0.2500
Ge 0.7500 0.7500 0.7500

Top 10 peaks for 5° ≤ 2θ ≤ 70°, by intensity:
2θ (°)  d (Å)  I_rel
34.7  2.588  100.0
62.1  1.494  36.6
24.3  3.660  29.8
49.8  1.830  17.8
56.2  1.637  12.4
42.8  2.113  9.1
21.0  4.226  3.4
40.9  2.207  1.9
54.7  1.679  0.8
66.4  1.409  0.6

=====

Diffraction record for GdHfAl. The powder X-ray diffraction pattern is theoretical, not measured: it uses the PBE geometry in Alexandria and Cu Kα (weighted mean of Kα1 and Kα2).

Cell and atoms:
Cell lengths 7.1475, 7.1475, 7.1475 Å; angles 154.21, 154.21, 36.79 degrees
Fractional coordinates of all 3 atoms:
Gd 0.0000 0.0000 0.0000
Hf 0.3073 0.3073 0.0000
Al 0.6667 0.6667 0.0000

Top 12 peaks for 5° ≤ 2θ ≤ 70°, by intensity:
2θ (°)  d (Å)  I_rel
34.4  2.606  100.0
39.9  2.257  49.1
28.8  3.105  34.5
57.8  1.596  30.8
69.0  1.360  26.6
26.3  3.391  20.5
13.1  6.782  17.0
48.5  1.878  15.9
55.5  1.656  15.8
68.9  1.363  7.8
64.6  1.443  6.8
65.8  1.419  6.8

=====

> What is the formula in the third record?

GdHfAl